For Nd2Ho6Sc3, a PBE-relaxed structure gives the simulated powder XRD pattern in this record (Cu Kα X-rays).
Lines closer than 0.1° are merged.

Atomic structure:
a b c (Å): 5.9859 5.9859 11.4121
angles (deg): 95.05 95.05 120.07
Fractional coordinates of all 11 atoms:
1 Nd 0.1666 0.8334 0.0000
2 Nd 0.8334 0.1666 0.0000
3 Ho 0.0795 0.4132 0.7382
4 Ho 0.2532 0.2532 0.2613
5 Ho 0.4132 0.0795 0.7382
6 Ho 0.5868 0.9205 0.2618
7 Ho 0.7468 0.7468 0.7387
8 Ho 0.9205 0.5868 0.2618
9 Sc 0.0000 0.0000 0.5000
10 Sc 0.3347 0.6653 0.5000
11 Sc 0.6653 0.3347 0.5000

Top 6 peaks for 2θ = 10–80°, sorted by position:
2theta  I/Imax
15.78  25.8
31.74  100.0
31.87  31.0
36.85  65.0
53.01  23.4
63.17  21.7